Diffraction record for Ti3CoSn3. The powder diffractogram is theoretical, not measured: it uses a structure optimized by DFT (PBE) and CuKα.
Neutral-atom scattering factors, no anomalous dispersion.

Cell and atoms:
Cell lengths 8.8509, 8.8509, 4.0889 Å; angles 90.00, 90.00, 120.00 degrees
Space group P6_3/mmc (No. 194)
Asymmetric unit:
Ti 0.1209 0.5605 0.2500 [6 per cell]
Co 0.3333 0.6667 0.7500 [2 per cell]
Sn 0.1649 0.3298 0.7500 [6 per cell]

Largest 10 diffraction maxima, sorted by position, 10 to 80 degrees two-theta:
(2 0 0), 3.833 Å, I 27.9
(1 0 1), 3.608 Å, I 18.7
(2 0 1), 2.796 Å, I 100.0
(2 1 1), 2.364 Å, I 91.5
(2 2 0), 2.213 Å, I 56.8
(0 0 2), 2.044 Å, I 28.0
(4 0 0), 1.916 Å, I 14.0
(3 1 1), 1.886 Å, I 17.5
(2 2 2), 1.502 Å, I 34.1
(4 2 1), 1.365 Å, I 31.8

Diffraction record for Tl2Co2Sn. The powder diffractogram is theoretical, not measured: it uses a structure optimized by DFT (PBE) and CuKα.
Neutral-atom scattering factors, no anomalous dispersion.

Cell and atoms:
Cell lengths 4.267, 4.267, 11.587 Å; angles 90.00, 90.00, 90.00 degrees
Space group I4/mmm (No. 139)
Asymmetric unit:
Tl 0.000 0.500 0.250 [4 per cell]
Co 0.000 0.000 0.094 [4 per cell]
Sn 0.000 0.000 0.500 [2 per cell]

Largest 10 diffraction maxima, sorted by position, 10 to 80 degrees two-theta:
(0 0 2), 5.793 Å, I 26.3
(0 0 4), 2.897 Å, I 17.7
(1 1 2), 2.676 Å, I 100.0
(2 0 0), 2.133 Å, I 34.0
(1 1 4), 2.090 Å, I 20.5
(1 0 5), 2.036 Å, I 8.4
(2 0 4), 1.718 Å, I 16.1
(1 1 6), 1.626 Å, I 12.2
(2 2 0), 1.508 Å, I 11.3
(3 1 2), 1.314 Å, I 22.6

Diffraction record for TmCo4Sn4. The powder diffractogram is theoretical, not measured: it uses a structure optimized by DFT (PBE) and CuKα.
Neutral-atom scattering factors, no anomalous dispersion.

Cell and atoms:
Cell lengths 8.277, 8.277, 5.158 Å; angles 90.00, 90.00, 90.00 degrees
Space group P4_2/n (No. 86, origin choice 2)
Asymmetric unit:
Tm 0.250 0.250 0.250 [2 per cell]
Co 0.053 0.600 0.643 [8 per cell]
Sn 0.093 0.636 0.144 [8 per cell]

Largest 10 diffraction maxima, sorted by position, 10 to 80 degrees two-theta:
(1 0 1), 4.378 Å, I 27.6
(2 1 1), 3.007 Å, I 52.8
(1 3 0), 2.617 Å, I 100.0
(1 0 2), 2.462 Å, I 45.7
(2 3 1), 2.097 Å, I 22.1
(3 0 2), 1.884 Å, I 39.2
(4 2 0), 1.851 Å, I 20.2
(1 3 2), 1.837 Å, I 14.3
(1 4 2), 1.584 Å, I 14.7
(4 3 2), 1.393 Å, I 16.9

Diffraction record for Tm3Co8Sn4. The powder diffractogram is theoretical, not measured: it uses a structure optimized by DFT (PBE) and CuKα.
Neutral-atom scattering factors, no anomalous dispersion.

Cell and atoms:
Cell lengths 8.8541, 8.8541, 7.3925 Å; angles 90.00, 90.00, 120.00 degrees
Space group P6_3mc (No. 186)
Asymmetric unit:
Tm 0.0615 0.5308 0.0000 [6 per cell]
Co 0.0000 0.0000 0.2780 [2 per cell]
Co 0.0988 0.1976 0.0230 [6 per cell]
Co 0.1602 0.3203 0.3305 [6 per cell]
Co 0.3333 0.6667 0.7230 [2 per cell]
Sn 0.1721 0.3441 0.7019 [6 per cell]
Sn 0.3333 0.6667 0.3377 [2 per cell]

Largest 10 diffraction maxima, sorted by position, 10 to 80 degrees two-theta:
(2 1 1), 2.698 Å, I 40.5
(2 0 2), 2.661 Å, I 100.0
(3 0 1), 2.416 Å, I 49.5
(1 0 3), 2.346 Å, I 33.8
(2 1 2), 2.281 Å, I 27.1
(2 2 0), 2.214 Å, I 85.2
(3 0 2), 2.102 Å, I 17.8
(2 0 3), 2.073 Å, I 18.0
(3 0 3), 1.774 Å, I 16.9
(3 2 3), 1.432 Å, I 37.1